This entry pairs a crystal structure of Al3Ge with its simulated X-ray diffraction stick pattern. Radiation: CuKα. Structure: DFT lattice parameters and positions (GGA-PBE).

Main lines, by intensity (10° ≤ 2θ ≤ 90°):
- 2θ = 40.19°, I 100.0, hkl 1 2 1
- 2θ = 41.84°, I 43.4, hkl 0 2 2
- 2θ = 37.99°, I 37.7, hkl 0 4 0
- 2θ = 20.57°, I 33.3, hkl 0 1 1
- 2θ = 35.23°, I 29.4, hkl 1 0 1
- 2θ = 18.73°, I 20.6, hkl 0 2 0
- 2θ = 70.12°, I 18.7, hkl 1 6 1
- 2θ = 52.78°, I 18.1, hkl 1 4 1
- 2θ = 78.41°, I 17.5, hkl 1 4 3
- 2θ = 65.62°, I 14.6, hkl 1 0 3

Structural model:
Cell lengths 2.9936, 9.4732, 4.8509 Å; angles 90.00, 90.00, 90.00 degrees
Space group Imm2 (No. 44)
Symmetry-distinct sites (fractional):
Al1 0.0000 0.0000 0.0000 x2
Al2 0.0000 0.2503 0.6640 x4
Ge1 0.0000 0.5000 0.9998 x2